[1]
Rb2Cd6HgPt: computed PXRD pattern (a wavelength of 1.5418 Å), based on the PBE geometry in Alexandria.
No peak broadening, texture or thermal motion is included.

Top 10 peaks for 2θ = 10–80°, low angle first:
2theta  Rel. int.
16.06  76
17.14  58
23.57  29
28.72  51
33.62  100
34.68  70
37.37  48
41.94  46
45.10  32
55.51  27

Crystal structure
Lattice parameters (Å, degrees): 7.8288 10.3458 7.7786 90.00 90.00 90.00
Positions (direct):
1 Rb 0.2500 0.0387 0.2160
2 Rb 0.2500 0.4613 0.2160
3 Rb 0.7500 0.5387 0.7840
4 Rb 0.7500 0.9613 0.7840
5 Cd 0.0241 0.2500 0.8765
6 Cd 0.0603 0.7500 0.5338
7 Cd 0.2500 0.5030 0.6955
8 Cd 0.2500 0.9970 0.6955
9 Cd 0.4397 0.7500 0.5338
10 Cd 0.4759 0.2500 0.8765
11 Cd 0.5241 0.7500 0.1235
12 Cd 0.5603 0.2500 0.4662
13 Cd 0.7500 0.0030 0.3045
14 Cd 0.7500 0.4970 0.3045
15 Cd 0.9397 0.2500 0.4662
16 Cd 0.9759 0.7500 0.1235
17 Hg 0.2500 0.7500 0.8815
18 Hg 0.7500 0.2500 0.1185
19 Pt 0.2500 0.2500 0.6162
20 Pt 0.7500 0.7500 0.3838

[2]
CsH6Pt: computed PXRD pattern (a wavelength of 1.5418 Å), based on the PBE geometry in Alexandria.
No peak broadening, texture or thermal motion is included.

Top 10 peaks for 2θ = 10–80°, low angle first:
2theta  Rel. int.
27.53  100
39.32  20
48.52  11
48.72  31
56.72  7
56.93  7
64.21  9
64.36  9
77.77  5
78.16  11

Crystal structure
Lattice parameters (Å, degrees): 4.5825 4.5825 4.5825 89.80 89.80 89.80
Positions (direct):
1 Cs 0.0000 0.0000 0.0000
2 H 0.1240 0.5007 0.5007
3 H 0.4993 0.4993 0.8760
4 H 0.4993 0.8760 0.4993
5 H 0.5007 0.1240 0.5007
6 H 0.5007 0.5007 0.1240
7 H 0.8760 0.4993 0.4993
8 Pt 0.5000 0.5000 0.5000

[3]
Sr3Cd5Ag6: computed PXRD pattern (a wavelength of 1.5418 Å), based on the PBE geometry in Alexandria.
No peak broadening, texture or thermal motion is included.

Top 10 peaks for 2θ = 10–80°, low angle first:
2theta  Rel. int.
17.43  28
31.80  100
32.26  39
32.50  34
34.71  47
36.76  51
37.25  72
38.08  24
40.95  42
41.34  31

Crystal structure
Lattice parameters (Å, degrees): 9.0535 9.0535 9.0535 149.08 111.62 76.92
Positions (direct):
1 Sr 0.0000 0.0000 0.0000
2 Sr 0.3138 0.3138 0.0000
3 Sr 0.6862 0.6862 0.0000
4 Cd 0.0311 0.6776 0.3535
5 Cd 0.3241 0.6776 0.6465
6 Cd 0.5000 0.0000 0.5000
7 Cd 0.6759 0.3224 0.3535
8 Cd 0.9689 0.3224 0.6465
9 Ag 0.1569 0.8791 0.2778
10 Ag 0.2905 0.5000 0.7906
11 Ag 0.3987 0.1209 0.2778
12 Ag 0.6013 0.8791 0.7222
13 Ag 0.7094 0.5000 0.2094
14 Ag 0.8431 0.1209 0.7222